The following is a simulated powder diffraction line list of TbZrO14. It was derived from a DFT-relaxed cell (PBE, the Materials Project), using Cu Kα, 1.54184 Å.
Peak positions follow from Bragg's law for the DFT cell and can differ from measured ones.

The 6 most intense peaks (2θ from 10° to 90°), sorted by position:
- (2 2 0), 23.27°, rel. 100
- (4 2 2), 40.90°, rel. 92
- (4 4 0), 47.58°, rel. 18
- (6 2 0), 53.62°, rel. 33
- (6 4 2), 64.51°, rel. 25
- (6 6 0), 74.48°, rel. 24

Crystal structure
Cell: 10.810 10.810 10.810 Å, 90.00 90.00 90.00°
Space group Fd-3m (No. 227, origin choice 2)
Symmetry-distinct sites (fractional):
Tb  0.125  0.125  0.125 x8
Zr  0.125  0.125  0.625 x8
O  0.000  0.000  0.000 x16
O  0.031  0.031  0.368 x96

***

The following is a simulated powder diffraction line list of TlTcO3. It was derived from a DFT-relaxed cell (PBE, the Materials Project), using Cu Kα, 1.54184 Å.
Peak positions follow from Bragg's law for the DFT cell and can differ from measured ones.

The 6 most intense peaks (2θ from 10° to 90°), sorted by position:
- (1 1 0), 31.71°, rel. 100
- (1 1 1), 39.10°, rel. 10
- (2 0 0), 45.46°, rel. 28
- (2 1 1), 56.48°, rel. 40
- (2 2 0), 66.24°, rel. 17
- (3 1 0), 75.31°, rel. 17

Crystal structure
```
data_TlTcO3
_chemical_formula_sum 'Tl1 Tc1 O3'
_cell_length_a 3.991
_cell_length_b 3.991
_cell_length_c 3.991
_cell_angle_alpha 90.00
_cell_angle_beta 90.00
_cell_angle_gamma 90.00
_symmetry_space_group_name_H-M 'P m -3 m'
_symmetry_Int_Tables_number 221
_symmetry_space_group_name_Hall '-P 4 2 3'
loop_
_atom_site_label
_atom_site_fract_x
_atom_site_fract_y
_atom_site_fract_z
_atom_site_occupancy
Tl1 0.000 0.000 0.000 1
Tc1 0.500 0.500 0.500 1
O1 0.000 0.500 0.500 1
```

***

The following is a simulated powder diffraction line list of TlTcO2. It was derived from a DFT-relaxed cell (PBE, the Materials Project), using Cu Kα, 1.54184 Å.
Peak positions follow from Bragg's law for the DFT cell and can differ from measured ones.

The 6 most intense peaks (2θ from 10° to 90°), sorted by position:
- (0 0 4), 27.77°, rel. 47
- (2 0 2), 30.36°, rel. 100
- (2 2 0), 38.43°, rel. 37
- (2 2 4), 48.07°, rel. 39
- (2 0 6), 50.76°, rel. 26
- (4 2 2), 64.55°, rel. 27

Crystal structure
```
data_TlTcO2
_chemical_formula_sum 'Tl8 Tc8 O16'
_cell_length_a 6.626
_cell_length_b 6.626
_cell_length_c 12.849
_cell_angle_alpha 90.00
_cell_angle_beta 90.00
_cell_angle_gamma 90.00
_symmetry_space_group_name_H-M 'I 41/a m d'
_symmetry_Int_Tables_number 141
loop_
_symmetry_equiv_pos_as_xyz
'x,y,z'
'-x,-y,-z'
'-y+1/4,x+3/4,z+1/4'
'y+1/4,-x+3/4,-z+1/4'
'-x+1/2,-y,z+1/2'
'x+1/2,y,-z+1/2'
'y+1/4,-x+1/4,z+3/4'
'-y+1/4,x+1/4,-z+3/4'
'x,-y,-z'
'-x,y,z'
'-y+1/4,-x+1/4,-z+3/4'
'y+1/4,x+1/4,z+3/4'
'-x+1/2,y,-z+1/2'
'x+1/2,-y,z+1/2'
'y+1/4,x+3/4,-z+1/4'
'-y+1/4,-x+3/4,z+1/4'
'x+1/2,y+1/2,z+1/2'
'-x+1/2,-y+1/2,-z+1/2'
'-y+3/4,x+1/4,z+3/4'
'y+3/4,-x+1/4,-z+3/4'
'-x,-y+1/2,z'
'x,y+1/2,-z'
'y+3/4,-x+3/4,z+1/4'
'-y+3/4,x+3/4,-z+1/4'
'x+1/2,-y+1/2,-z+1/2'
'-x+1/2,y+1/2,z+1/2'
'-y+3/4,-x+3/4,-z+1/4'
'y+3/4,x+3/4,z+1/4'
'-x,y+1/2,-z'
'x,-y+1/2,z'
'y+3/4,x+1/4,-z+3/4'
'-y+3/4,-x+1/4,z+3/4'
loop_
_atom_site_label
_atom_site_fract_x
_atom_site_fract_y
_atom_site_fract_z
_atom_site_occupancy
Tl1 0.000 0.000 0.000 1
Tc1 0.000 0.000 0.500 1
O1 0.000 0.066 0.233 1
```

***

The following is a simulated powder diffraction line list of TeO3. It was derived from a DFT-relaxed cell (PBE, the Materials Project), using Cu Kα, 1.54184 Å.
Peak positions follow from Bragg's law for the DFT cell and can differ from measured ones.

The 6 most intense peaks (2θ from 10° to 90°), sorted by position:
- (0 2 0), 24.13°, rel. 51
- (1 0 1), 24.26°, rel. 100
- (2 0 0), 34.00°, rel. 16
- (1 2 1), 34.48°, rel. 54
- (1 4 1), 55.80°, rel. 21
- (2 2 2), 55.99°, rel. 20

Crystal structure
```
data_TeO3
_chemical_formula_sum 'Te4 O12'
_cell_length_a 5.273
_cell_length_b 7.376
_cell_length_c 5.107
_cell_angle_alpha 90.00
_cell_angle_beta 90.00
_cell_angle_gamma 90.00
_symmetry_space_group_name_H-M 'P n m a'
_symmetry_Int_Tables_number 62
_symmetry_space_group_name_Hall '-P 2ac 2n'
loop_
_atom_site_label
_atom_site_fract_x
_atom_site_fract_y
_atom_site_fract_z
_atom_site_occupancy
Te1 0.000 0.000 0.000 1
O1 0.021 0.250 0.123 1
O2 0.190 0.060 0.684 1
```